Pr3Sn3Hg2: computed powder X-ray diffraction pattern (Cu Kα), based on a cell relaxed with PBE.
Intensities are scaled so that the largest is 100.

Structural model:
Unit cell a=6.4317 b=6.4317 c=16.1290 alpha=90.00 beta=90.00 gamma=137.36
Fractional coordinates of all 16 atoms:
Pr1 0.0656 0.9344 0.6136
Pr2 0.0656 0.9344 0.8864
Pr3 0.3422 0.6578 0.7500
Pr4 0.6578 0.3422 0.2500
Pr5 0.9344 0.0656 0.1136
Pr6 0.9344 0.0656 0.3864
Sn1 0.3822 0.6178 0.5389
Sn2 0.3822 0.6178 0.9611
Sn3 0.3886 0.6113 0.2500
Sn4 0.6113 0.3886 0.7500
Sn5 0.6178 0.3822 0.0389
Sn6 0.6178 0.3822 0.4611
Hg1 0.2260 0.7740 0.1103
Hg2 0.2260 0.7740 0.3897
Hg3 0.7740 0.2260 0.6103
Hg4 0.7740 0.2260 0.8897

Main lines, most intense first (10° ≤ 2θ ≤ 90°):
2θ/deg  intensity
33.90  100.0
30.20  79.5
38.50  44.6
29.94  33.7
37.40  27.1
30.35  25.5
54.76  18.4
37.06  17.8
57.31  15.0
33.33  14.9